Theoretical X-ray powder pattern of Li3V2P4H2O16 for Cu Ka, from a crystal structure in Alexandria, relaxed with GGA+U.
No peak broadening, texture or thermal motion is included.

Crystal structure
Unit cell a=7.8921 b=9.4334 c=9.4418 alpha=117.86 beta=101.10 gamma=101.18
Element x y z (fractional)
Li1 0.0000 0.0000 0.0000
Li2 0.0046 0.4934 0.4960
Li3 0.3030 0.9119 0.1768
Li4 0.4958 0.1165 0.8907
Li5 0.5064 0.6140 0.3799
Li6 0.8060 0.2963 0.8000
V1 0.1399 0.7004 0.3335
V2 0.1553 0.2074 0.8384
V3 0.6463 0.4513 0.5878
V4 0.6569 0.9531 0.0948
P1 0.3839 0.2099 0.1963
P2 0.3921 0.7130 0.6936
P3 0.4113 0.5974 0.0821
P4 0.4179 0.0952 0.5740
P5 0.8821 0.3083 0.0936
P6 0.8870 0.8078 0.5969
P7 0.9129 0.1966 0.4829
P8 0.9218 0.6914 0.9803
H1 0.1336 0.2140 0.3556
H2 0.1699 0.6930 0.8255
H3 0.6312 0.4708 0.0996
H4 0.6473 0.9621 0.5855
O1 0.0015 0.4674 0.2735
O2 0.0078 0.7861 0.4762
O3 0.0080 0.9634 0.7728
O4 0.0882 0.2794 0.4582
O5 0.1012 0.7609 0.9572
O6 0.2051 0.1362 0.2170
O7 0.2103 0.6379 0.7133
O8 0.2953 0.9378 0.3987
O9 0.2966 0.4429 0.9084
O10 0.3038 0.6213 0.2129
O11 0.3231 0.1203 0.7072
O12 0.3394 0.7109 0.5268
O13 0.3428 0.2188 0.0349
O14 0.4619 0.7616 0.0819
O15 0.4734 0.2531 0.5606
O16 0.4935 0.0863 0.1784
O17 0.5035 0.3900 0.3549
O18 0.5053 0.8890 0.8504
O19 0.5100 0.5929 0.6743
O20 0.5868 0.5730 0.1651
O21 0.6018 0.0721 0.6441
O22 0.7031 0.3286 0.0205
O23 0.7088 0.8282 0.5264
O24 0.7956 0.5147 0.8224
O25 0.7974 0.0224 0.3292
O26 0.8047 0.3268 0.5051
O27 0.8197 0.8208 0.0059
O28 0.8434 0.1474 0.1037
O29 0.8427 0.6408 0.5985
O30 0.9622 0.1977 0.6475
O31 0.9702 0.6721 0.1363
O32 0.9912 0.2913 0.9702

Peak list (10 most intense, 10° ≤ 2θ ≤ 90°, sorted by position)
2θ (°)  I/Imax  index
16.34  64  1 -1 1
22.55  51  0 2 0
24.93  88  -2 1 1
25.17  60  1 -2 2
29.04  100  1 0 2
29.12  20  1 -3 1
29.66  23  0 3 -1
33.02  52  2 2 -2
38.69  21  -1 3 1
51.57  19  4 1 -3